This entry pairs a crystal structure of ErZn6Cu4 with its computed PXRD pattern. Radiation: Cu Kα, 1.54184 Å. Structure: a PBE-relaxed structure.
Neutral-atom scattering factors, no anomalous dispersion.

Peak list (10 most intense, 2θ = 10–80°, low angle first)
2θ/deg  I_rel
19.35  336
32.54  347
33.21  896
34.50  1000
40.42  534
43.64  744
44.17  700
44.41  514
57.64  301
68.55  257

Structural model:
```
data_ErZn6Cu4
_cell_length_a 6.400
_cell_length_b 6.400
_cell_length_c 6.400
_cell_angle_alpha 120.91
_cell_angle_beta 120.91
_cell_angle_gamma 88.44
_symmetry_space_group_name_H-M 'P 1'
_symmetry_Int_Tables_number 1
_symmetry_space_group_name_Hall 'P 1'
loop_
_atom_site_label
_atom_site_type_symbol
_atom_site_fract_x
_atom_site_fract_y
_atom_site_fract_z
Er1 Er 0.000 0.000 0.000
Zn1 Zn 0.000 0.500 0.500
Zn2 Zn 0.105 0.486 0.000
Zn3 Zn 0.486 0.105 0.000
Zn4 Zn 0.500 0.000 0.500
Zn5 Zn 0.514 0.514 0.619
Zn6 Zn 0.895 0.895 0.381
Cu1 Cu 0.260 0.260 0.671
Cu2 Cu 0.411 0.740 0.000
Cu3 Cu 0.589 0.589 0.329
Cu4 Cu 0.740 0.411 0.000
```

This entry pairs a crystal structure of Er3Zn3Cu2 with its computed PXRD pattern. Radiation: Cu Kα, 1.54184 Å. Structure: a PBE-relaxed structure.
Neutral-atom scattering factors, no anomalous dispersion.

Peak list (10 most intense, 2θ = 10–80°, low angle first)
2θ/deg  I_rel
25.42  233
34.96  1000
38.07  438
39.27  412
44.80  136
48.29  153
54.51  148
60.21  263
63.93  190
72.35  123

Structural model:
```
data_Er3Zn3Cu2
_cell_length_a 7.008
_cell_length_b 7.008
_cell_length_c 3.769
_cell_angle_alpha 90.00
_cell_angle_beta 90.00
_cell_angle_gamma 120.00
_symmetry_space_group_name_H-M 'P 1'
_symmetry_Int_Tables_number 1
_symmetry_space_group_name_Hall 'P 1'
loop_
_atom_site_label
_atom_site_type_symbol
_atom_site_fract_x
_atom_site_fract_y
_atom_site_fract_z
Er1 Er 0.000 0.403 0.000
Er2 Er 0.403 0.000 0.000
Er3 Er 0.597 0.597 0.000
Zn1 Zn 0.000 0.768 0.500
Zn2 Zn 0.232 0.232 0.500
Zn3 Zn 0.768 0.000 0.500
Cu1 Cu 0.333 0.667 0.500
Cu2 Cu 0.667 0.333 0.500
```

This entry pairs a crystal structure of Er3Zn3Cu with its computed PXRD pattern. Radiation: Cu Kα, 1.54184 Å. Structure: a PBE-relaxed structure.
Neutral-atom scattering factors, no anomalous dispersion.

Peak list (10 most intense, 2θ = 10–80°, low angle first)
2θ/deg  I_rel
24.77  318
28.68  149
33.53  1000
34.58  576
37.56  172
39.50  428
41.00  310
50.64  167
54.69  309
66.06  181

Structural model:
```
data_Er3Zn3Cu
_cell_length_a 9.760
_cell_length_b 9.760
_cell_length_c 9.760
_cell_angle_alpha 158.71
_cell_angle_beta 153.93
_cell_angle_gamma 33.90
_symmetry_space_group_name_H-M 'P 1'
_symmetry_Int_Tables_number 1
_symmetry_space_group_name_Hall 'P 1'
loop_
_atom_site_label
_atom_site_type_symbol
_atom_site_fract_x
_atom_site_fract_y
_atom_site_fract_z
Er1 Er 0.000 0.000 0.000
Er2 Er 0.382 0.382 0.000
Er3 Er 0.698 0.198 0.500
Zn1 Zn 0.129 0.629 0.500
Zn2 Zn 0.554 0.554 0.000
Zn3 Zn 0.833 0.833 0.000
Cu1 Cu 0.260 0.760 0.500
```

This entry pairs a crystal structure of ErZn5Cu7 with its computed PXRD pattern. Radiation: Cu Kα, 1.54184 Å. Structure: a PBE-relaxed structure.
Neutral-atom scattering factors, no anomalous dispersion.

Peak list (10 most intense, 2θ = 10–80°, low angle first)
2θ/deg  I_rel
36.07  352
36.26  242
41.70  1000
41.86  847
42.05  912
42.18  352
42.41  273
46.93  284
47.07  255
47.56  250

Structural model:
```
data_ErZn5Cu7
_cell_length_a 6.558
_cell_length_b 6.558
_cell_length_c 4.956
_cell_angle_alpha 111.46
_cell_angle_beta 111.46
_cell_angle_gamma 82.40
_symmetry_space_group_name_H-M 'P 1'
_symmetry_Int_Tables_number 1
_symmetry_space_group_name_Hall 'P 1'
loop_
_atom_site_label
_atom_site_type_symbol
_atom_site_fract_x
_atom_site_fract_y
_atom_site_fract_z
Er1 Er 0.000 0.000 0.000
Zn1 Zn 0.489 0.996 0.494
Zn2 Zn 0.490 0.996 0.993
Zn3 Zn 0.776 0.776 0.280
Zn4 Zn 0.996 0.489 0.494
Zn5 Zn 0.996 0.490 0.993
Cu1 Cu 0.210 0.210 0.710
Cu2 Cu 0.211 0.774 0.494
Cu3 Cu 0.346 0.638 0.992
Cu4 Cu 0.351 0.351 0.344
Cu5 Cu 0.638 0.346 0.992
Cu6 Cu 0.642 0.642 0.652
Cu7 Cu 0.774 0.211 0.494
```

This entry pairs a crystal structure of Er2Zn7Cu with its computed PXRD pattern. Radiation: Cu Kα, 1.54184 Å. Structure: a PBE-relaxed structure.
Neutral-atom scattering factors, no anomalous dispersion.

Peak list (10 most intense, 2θ = 10–80°, low angle first)
2θ/deg  I_rel
31.38  175
33.19  614
35.54  1000
44.97  472
47.41  356
57.02  259
60.42  107
65.48  147
67.40  241
76.77  201

Structural model:
```
data_Er2Zn7Cu
_cell_length_a 4.032
_cell_length_b 4.032
_cell_length_c 10.901
_cell_angle_alpha 90.00
_cell_angle_beta 90.00
_cell_angle_gamma 90.00
_symmetry_space_group_name_H-M 'P 1'
_symmetry_Int_Tables_number 1
_symmetry_space_group_name_Hall 'P 1'
loop_
_atom_site_label
_atom_site_type_symbol
_atom_site_fract_x
_atom_site_fract_y
_atom_site_fract_z
Er1 Er 0.000 0.500 0.247
Er2 Er 0.500 0.000 0.753
Zn1 Zn 0.000 0.000 0.000
Zn2 Zn 0.000 0.000 0.500
Zn3 Zn 0.000 0.500 0.641
Zn4 Zn 0.000 0.500 0.864
Zn5 Zn 0.500 0.000 0.136
Zn6 Zn 0.500 0.000 0.359
Zn7 Zn 0.500 0.500 0.500
Cu1 Cu 0.500 0.500 0.000
```

This entry pairs a crystal structure of ErZn4Cu2 with its computed PXRD pattern. Radiation: Cu Kα, 1.54184 Å. Structure: a PBE-relaxed structure.
Neutral-atom scattering factors, no anomalous dispersion.

Peak list (10 most intense, 2θ = 10–80°, low angle first)
2θ/deg  I_rel
22.34  157
35.28  664
35.44  682
35.97  272
38.64  1000
41.01  880
44.89  517
45.28  490
57.46  133
71.53  376

Structural model:
```
data_ErZn4Cu2
_cell_length_a 5.287
_cell_length_b 5.287
_cell_length_c 5.287
_cell_angle_alpha 123.64
_cell_angle_beta 103.34
_cell_angle_gamma 102.43
_symmetry_space_group_name_H-M 'P 1'
_symmetry_Int_Tables_number 1
_symmetry_space_group_name_Hall 'P 1'
loop_
_atom_site_label
_atom_site_type_symbol
_atom_site_fract_x
_atom_site_fract_y
_atom_site_fract_z
Er1 Er 0.000 0.000 0.000
Zn1 Zn 0.002 0.307 0.694
Zn2 Zn 0.387 0.693 0.694
Zn3 Zn 0.613 0.307 0.306
Zn4 Zn 0.998 0.693 0.306
Cu1 Cu 0.500 0.249 0.749
Cu2 Cu 0.500 0.751 0.251
```

This entry pairs a crystal structure of ErZr2Cu6 with its computed PXRD pattern. Radiation: Cu Kα, 1.54184 Å. Structure: a PBE-relaxed structure.
Neutral-atom scattering factors, no anomalous dispersion.

Peak list (10 most intense, 2θ = 10–80°, low angle first)
2θ/deg  I_rel
13.80  82
24.01  110
32.32  28
38.06  1000
42.24  697
58.15  279
60.29  77
74.45  260
76.35  223
77.23  108

Structural model:
```
data_ErZr2Cu6
_cell_length_a 7.412
_cell_length_b 7.412
_cell_length_c 3.070
_cell_angle_alpha 90.00
_cell_angle_beta 90.00
_cell_angle_gamma 120.00
_symmetry_space_group_name_H-M 'P 1'
_symmetry_Int_Tables_number 1
_symmetry_space_group_name_Hall 'P 1'
loop_
_atom_site_label
_atom_site_type_symbol
_atom_site_fract_x
_atom_site_fract_y
_atom_site_fract_z
Er1 Er 0.000 0.000 0.000
Zr1 Zr 0.333 0.667 0.000
Zr2 Zr 0.667 0.333 0.000
Cu1 Cu 0.000 0.335 0.500
Cu2 Cu 0.000 0.665 0.500
Cu3 Cu 0.335 0.000 0.500
Cu4 Cu 0.335 0.335 0.500
Cu5 Cu 0.665 0.000 0.500
Cu6 Cu 0.665 0.665 0.500
```

This entry pairs a crystal structure of Er5ZrCu6 with its computed PXRD pattern. Radiation: Cu Kα, 1.54184 Å. Structure: a PBE-relaxed structure.
Neutral-atom scattering factors, no anomalous dispersion.

Peak list (10 most intense, 2θ = 10–80°, low angle first)
2θ/deg  I_rel
26.08  183
26.26  92
37.22  508
37.35  1000
46.12  85
53.65  173
54.04  82
67.19  341
67.44  165
79.63  102

Structural model:
```
data_Er5ZrCu6
_cell_length_a 4.829
_cell_length_b 6.788
_cell_length_c 7.642
_cell_angle_alpha 90.00
_cell_angle_beta 108.39
_cell_angle_gamma 90.00
_symmetry_space_group_name_H-M 'P 1'
_symmetry_Int_Tables_number 1
_symmetry_space_group_name_Hall 'P 1'
loop_
_atom_site_label
_atom_site_type_symbol
_atom_site_fract_x
_atom_site_fract_y
_atom_site_fract_z
Er1 Er 0.000 0.000 0.000
Er2 Er 0.332 0.000 0.664
Er3 Er 0.332 0.500 0.665
Er4 Er 0.668 0.000 0.336
Er5 Er 0.668 0.500 0.335
Zr1 Zr 0.000 0.500 0.000
Cu1 Cu 0.161 0.259 0.320
Cu2 Cu 0.161 0.741 0.320
Cu3 Cu 0.500 0.272 0.000
Cu4 Cu 0.500 0.728 0.000
Cu5 Cu 0.839 0.259 0.680
Cu6 Cu 0.839 0.741 0.680
```